1.
# Er3Sc3Ni4
Theoretical X-ray diffraction stick pattern, Cu Kα X-rays. Input: a GGA-PBE-relaxed structure.
Neutral-atom scattering factors, no anomalous dispersion.

```
data_Er3Sc3Ni4
_cell_length_a 3.7246
_cell_length_b 10.2457
_cell_length_c 10.2725
_cell_angle_alpha 90.00
_cell_angle_beta 90.00
_cell_angle_gamma 90.00
_symmetry_space_group_name_H-M 'A m m 2'
_symmetry_Int_Tables_number 38
_symmetry_space_group_name_Hall 'A 2 -2'
loop_
_atom_site_label
_atom_site_fract_x
_atom_site_fract_y
_atom_site_fract_z
Er1 0.0000 0.0000 0.0000
Er2 0.5000 0.2465 0.5939
Sc1 0.0000 0.0000 0.6782
Sc2 0.0000 0.1588 0.3440
Ni1 0.5000 0.0000 0.2231
Ni2 0.5000 0.0000 0.4725
Ni3 0.5000 0.1304 0.8367
```

Top 10 peaks for 2θ from 10° to 90°, in order of rising 2θ:
hkl  d/Å  Position (°2θ)  I/Imax
0 0 2  5.136  17.27  21
0 2 2  3.627  24.54  21
1 2 0  3.013  29.65  51
1 2 2  2.599  34.52  70
0 4 0  2.563  35.01  26
1 1 3  2.446  36.74  100
0 2 4  2.294  39.27  94
1 4 2  1.953  46.50  29
2 0 0  1.862  48.91  24
2 2 4  1.446  64.44  43

2.
# Dy2B2Rh5Au
Theoretical X-ray diffraction stick pattern, Cu Kα X-rays. Input: a GGA-PBE-relaxed structure.
Neutral-atom scattering factors, no anomalous dispersion.

```
data_Dy2B2Rh5Au
_cell_length_a 9.5990
_cell_length_b 9.5990
_cell_length_c 3.2385
_cell_angle_alpha 90.00
_cell_angle_beta 90.00
_cell_angle_gamma 90.00
_symmetry_space_group_name_H-M 'P 4/m b m'
_symmetry_Int_Tables_number 127
_symmetry_space_group_name_Hall '-P 4 2ab'
loop_
_atom_site_label
_atom_site_fract_x
_atom_site_fract_y
_atom_site_fract_z
Dy1 0.1766 0.3234 0.0000
B1 0.1226 0.6226 0.0000
Rh1 0.0000 0.5000 0.5000
Rh2 0.0707 0.7733 0.5000
Au1 0.0000 0.0000 0.0000
```

Top 10 peaks for 2θ from 10° to 90°, in order of rising 2θ:
hkl  d/Å  Position (°2θ)  I/Imax
2 1 1  2.585  34.70  70
2 2 1  2.343  38.42  46
4 1 0  2.328  38.68  59
3 1 1  2.215  40.74  100
4 2 0  2.146  42.10  43
3 2 1  2.057  44.03  20
0 0 2  1.619  56.86  19
5 3 1  1.468  63.38  20
6 0 1  1.434  65.02  23
4 1 2  1.329  70.89  20